No. 1
Calculated powder XRD pattern of Rb2Gd4Cu4S9 for Cu Kα (λ = 1.5418 Å), from a structure optimized by DFT (PBE).
Lines closer than 0.1° are merged.

Principal peaks in the range 10° ≤ 2θ ≤ 90°, by angle:
2θ = 13.4°, I = 85, (2 0 0)
2θ = 22.7°, I = 57, (2 0 -4)
2θ = 25.5°, I = 100, (4 0 -2)
2θ = 26.7°, I = 64, (1 1 2)
2θ = 27.4°, I = 61, (1 1 -3)
2θ = 31.7°, I = 70, (3 1 1)
2θ = 44.4°, I = 75, (0 2 0)
2θ = 45.6°, I = 69, (3 1 -7)

Structural model:
```
data_Rb2Gd4Cu4S9
_cell_length_a 14.065
_cell_length_b 4.082
_cell_length_c 16.165
_cell_angle_alpha 90.00
_cell_angle_beta 109.60
_cell_angle_gamma 90.00
_space_group_name_H-M_alt 'C 1 2/m 1'
_space_group_IT_number 12
_space_group_name_Hall '-C 2y'
loop_
_atom_site_label
_atom_site_fract_x
_atom_site_fract_y
_atom_site_fract_z
Rb1 0.027 0.000 0.270
Gd1 0.154 0.500 0.554
Gd2 0.233 0.000 0.104
Cu1 0.066 0.500 0.959
Cu2 0.249 0.000 0.728
S1 0.000 0.000 0.500
S2 0.108 0.500 0.123
S3 0.141 0.000 0.926
S4 0.158 0.500 0.722
S5 0.205 0.500 0.399
```

---

No. 2
Calculated powder XRD pattern of BaMg14CdO16 for Cu Kα (λ = 1.5418 Å), from a structure optimized by DFT (PBE).
Lines closer than 0.1° are merged.

Principal peaks in the range 10° ≤ 2θ ≤ 90°, by angle:
2θ = 14.2°, I = 51, (1 1 0)
2θ = 20.2°, I = 34, (2 0 0)
2θ = 24.3°, I = 40, (1 1 1)
2θ = 28.2°, I = 30, (2 0 1)
2θ = 35.0°, I = 51, (2 2 1)
2θ = 39.7°, I = 57, (0 0 2)
2θ = 41.0°, I = 100, (4 0 0)
2θ = 58.4°, I = 63, (4 0 2)

Structural model:
```
data_BaMg14CdO16
_cell_length_a 8.800
_cell_length_b 8.800
_cell_length_c 4.543
_cell_angle_alpha 90.00
_cell_angle_beta 90.00
_cell_angle_gamma 90.00
_space_group_name_H-M_alt 'P 4/m m m'
_space_group_IT_number 123
_space_group_name_Hall '-P 4 2'
loop_
_atom_site_label
_atom_site_fract_x
_atom_site_fract_y
_atom_site_fract_z
Ba1 0.000 0.000 0.000
Mg1 0.000 0.264 0.500
Mg2 0.000 0.500 0.000
Mg3 0.247 0.500 0.500
Mg4 0.256 0.256 0.000
Cd1 0.500 0.500 0.000
O1 0.000 0.000 0.500
O2 0.000 0.279 0.000
O3 0.000 0.500 0.500
O4 0.241 0.500 0.000
O5 0.251 0.251 0.500
O6 0.500 0.500 0.500
```

---

No. 3
Calculated powder XRD pattern of NaSr2NdTi4O12 for Cu Kα (λ = 1.5418 Å), from a structure optimized by DFT (PBE).
Lines closer than 0.1° are merged.

Principal peaks in the range 10° ≤ 2θ ≤ 90°, by angle:
2θ = 19.7°, I = 24, (1 0 3)
2θ = 32.3°, I = 100, (1 1 6)
2θ = 32.5°, I = 54, (2 0 0)
2θ = 39.9°, I = 30, (2 0 6)
2θ = 46.0°, I = 22, (0 0 12)
2θ = 46.7°, I = 39, (2 2 0)
2θ = 57.9°, I = 41, (3 1 6)
2θ = 67.6°, I = 23, (2 2 12)

Structural model:
```
data_NaSr2NdTi4O12
_cell_length_a 5.504
_cell_length_b 5.504
_cell_length_c 23.660
_cell_angle_alpha 90.00
_cell_angle_beta 90.00
_cell_angle_gamma 90.00
_space_group_name_H-M_alt 'P -4 2 m'
_space_group_IT_number 111
_space_group_name_Hall 'P -4 2'
loop_
_atom_site_label
_atom_site_fract_x
_atom_site_fract_y
_atom_site_fract_z
Na1 0.000 0.000 0.000
Na2 0.500 0.500 0.166
Sr1 0.000 0.000 0.332
Sr2 0.000 0.000 0.500
Sr3 0.500 0.500 0.332
Sr4 0.500 0.500 0.500
Nd1 0.000 0.000 0.166
Nd2 0.500 0.500 0.000
Ti1 0.000 0.500 0.083
Ti2 0.000 0.500 0.247
Ti3 0.000 0.500 0.416
O1 0.000 0.500 0.000
O2 0.000 0.500 0.165
O3 0.000 0.500 0.332
O4 0.000 0.500 0.500
O5 0.201 0.201 0.914
O6 0.208 0.208 0.245
O7 0.225 0.225 0.584
O8 0.276 0.276 0.416
O9 0.280 0.280 0.752
O10 0.299 0.299 0.079
```

---

No. 4
Calculated powder XRD pattern of Cu2B3Ir4 for Cu Kα (λ = 1.5418 Å), from a structure optimized by DFT (PBE).
Lines closer than 0.1° are merged.

Principal peaks in the range 10° ≤ 2θ ≤ 90°, by angle:
2θ = 32.5°, I = 88, (1 0 2)
2θ = 33.1°, I = 77, (0 1 3)
2θ = 34.9°, I = 70, (0 0 10)
2θ = 40.0°, I = 97, (0 1 7)
2θ = 42.6°, I = 82, (1 0 8)
2θ = 45.3°, I = 30, (1 1 1)
2θ = 48.7°, I = 100, (1 1 5)
2θ = 72.5°, I = 49, (1 1 15)

Structural model:
```
data_Cu2B3Ir4
_cell_length_a 2.820
_cell_length_b 2.856
_cell_length_c 25.735
_cell_angle_alpha 90.00
_cell_angle_beta 90.00
_cell_angle_gamma 90.00
_space_group_name_H-M_alt 'A m m 2'
_space_group_IT_number 38
_space_group_name_Hall 'A 2 -2'
loop_
_atom_site_label
_atom_site_fract_x
_atom_site_fract_y
_atom_site_fract_z
Cu1 0.000 0.000 0.000
Cu2 0.500 0.000 0.444
B1 0.000 0.000 0.107
B2 0.500 0.000 0.340
B3 0.500 0.000 0.732
Ir1 0.000 0.000 0.272
Ir2 0.000 0.000 0.873
Ir3 0.500 0.000 0.171
Ir4 0.500 0.000 0.571
```